The following is a calculated powder diffraction line list of Tb2Y5Er. It was derived from a PBE-relaxed structure, using Cu Kα.
Neutral-atom scattering factors, no anomalous dispersion.

Main lines, sorted by position (5 to 70 degrees two-theta):
2theta, I/Imax, h k l
10.8, 81, 0 1 0
29.5, 100, -1 1 3
30.6, 65, 2 -1 0
31.6, 25, 1 2 -1
31.8, 90, 1 2 1
32.2, 98, 1 -3 0
32.6, 66, 0 2 -3
33.1, 45, 0 2 3
34.3, 24, 2 -2 1
49.8, 25, 0 0 6

Atomic structure:
```
data_Tb2Y5Er
_chemical_formula_sum 'Tb4 Y10 Er2'
_symmetry_space_group_name_H-M 'P 1'
_symmetry_Int_Tables_number 1
_cell_length_a 5.840
_cell_length_b 8.516
_cell_length_c 10.997
_cell_angle_alpha 90.64
_cell_angle_beta 90.10
_cell_angle_gamma 106.69
loop_
_symmetry_equiv_pos_as_xyz
'x,y,z'
loop_
_atom_site_label
_atom_site_type_symbol
_atom_site_fract_x
_atom_site_fract_y
_atom_site_fract_z
Tb1 Tb 0.113 0.037 0.379
Tb2 Tb 0.149 0.046 0.107
Tb3 Tb 0.851 0.954 0.893
Tb4 Tb 0.887 0.963 0.621
Y1 Y 0.195 0.373 0.915
Y2 Y 0.205 0.377 0.583
Y3 Y 0.242 0.432 0.252
Y4 Y 0.300 0.778 0.911
Y5 Y 0.333 0.789 0.572
Y6 Y 0.667 0.211 0.428
Y7 Y 0.700 0.222 0.089
Y8 Y 0.758 0.568 0.748
Y9 Y 0.795 0.623 0.417
Y10 Y 0.805 0.627 0.085
Er1 Er 0.483 0.142 0.758
Er2 Er 0.517 0.858 0.242
```